(1)
YErO3: calculated X-ray powder pattern (CuKα), based on a cell relaxed with PBE.

Unit cell a=5.9437 b=8.3752 c=5.6826 alpha=90.00 beta=90.00 gamma=90.00
Fractional positions:
Y 0.0522 0.2500 0.0138
Y 0.4478 0.7500 0.5138
Y 0.5522 0.2500 0.4862
Y 0.9478 0.7500 0.9862
Er 0.0000 0.0000 0.5000
Er 0.0000 0.5000 0.5000
Er 0.5000 0.0000 0.0000
Er 0.5000 0.5000 0.0000
O 0.0783 0.7500 0.3553
O 0.1830 0.5756 0.8207
O 0.1830 0.9244 0.8207
O 0.3170 0.0756 0.3207
O 0.3170 0.4244 0.3207
O 0.4217 0.2500 0.8553
O 0.5783 0.7500 0.1447
O 0.6830 0.5756 0.6793
O 0.6830 0.9244 0.6793
O 0.8170 0.0756 0.1793
O 0.8170 0.4244 0.1793
O 0.9217 0.2500 0.6447

Principal peaks in the range 2θ from 15° to 90°, in order of rising 2θ:
two_theta, intensity, index
21.64, 13.6, 1 0 1
30.07, 22.9, 2 0 0
30.48, 100.0, 1 2 1
31.49, 21.2, 0 0 2
43.21, 11.6, 0 4 0
44.10, 19.5, 2 0 2
53.54, 11.4, 2 4 0
53.66, 17.6, 3 2 1
55.44, 22.9, 1 2 3
63.45, 11.5, 2 4 2

(2)
Te2MoWS2: calculated X-ray powder pattern (CuKα), based on a cell relaxed with PBE.

Unit cell a=3.3594 b=3.3594 c=38.3411 alpha=90.00 beta=90.00 gamma=120.00
Fractional positions:
Te 0.0000 0.0000 0.0000
Te 0.0000 0.0000 0.0986
Te 0.0000 0.0000 0.3754
Te 0.0000 0.0000 0.4747
Mo 0.0000 0.0000 0.2372
Mo 0.6667 0.3333 0.0493
W 0.0000 0.0000 0.6129
W 0.6667 0.3333 0.4250
S 0.6667 0.3333 0.1977
S 0.6667 0.3333 0.2766
S 0.6667 0.3333 0.5733
S 0.6667 0.3333 0.6525

Principal peaks in the range 2θ from 15° to 90°, in order of rising 2θ:
two_theta, intensity, index
18.51, 12.9, 0 0 8
30.74, 51.1, 1 0 0
32.93, 14.0, 1 0 5
36.12, 100.0, 1 0 8
38.86, 16.0, 1 0 10
43.70, 47.0, 0 1 13
45.49, 14.6, 1 0 14
54.65, 31.8, 1 1 0
67.26, 16.0, 0 2 8
77.17, 14.5, 1 1 21

Number 2 is which compound? Te2MoWS2